No. 1
Computed X-ray powder pattern of Mg3In for λ = 1.5418 Å (Cu Kα), from DFT lattice parameters and positions (PBE).
No peak broadening, texture or thermal motion is included.

Main lines, low angle first (15 to 90 degrees two-theta):
| two_theta | Rel. int. | index |
| --- | --- | --- |
| 15.97 | 28 | 1 0 0 |
| 23.66 | 70 | 1 0 1 |
| 27.85 | 31 | 1 1 0 |
| 32.27 | 24 | 2 0 0 |
| 35.10 | 25 | 0 0 2 |
| 36.86 | 100 | 2 0 1 |
| 46.82 | 22 | 2 1 1 |
| 69.22 | 20 | 2 2 2 |

Cell and atoms:
a b c (Å): 6.4066 6.4066 5.1130
angles (deg): 90.00 90.00 120.00
Space group P6_3/mmc (No. 194)
One atom of each set of equivalent atoms:
Mg: 0.1659 0.3318 0.2500 [6 per cell]
In: 0.3333 0.6667 0.7500 [2 per cell]


No. 2
Computed X-ray powder pattern of CuRu4Pb for λ = 1.5418 Å (Cu Kα), from DFT lattice parameters and positions (PBE).
No peak broadening, texture or thermal motion is included.

Main lines, low angle first (15 to 90 degrees two-theta):
| two_theta | Rel. int. | index |
| --- | --- | --- |
| 34.51 | 35 | 2 2 0 |
| 40.71 | 100 | 3 1 1 |
| 42.61 | 32 | 2 2 2 |
| 61.83 | 13 | 4 2 2 |
| 66.04 | 32 | 5 1 1 |
| 72.78 | 24 | 4 4 0 |
| 86.90 | 12 | 5 3 3 |
| 88.16 | 12 | 6 2 2 |

Cell and atoms:
a b c (Å): 7.351 7.351 7.351
angles (deg): 90.00 90.00 90.00
Space group F-43m (No. 216)
One atom of each set of equivalent atoms:
Cu: 0.000 0.000 0.000 [4 per cell]
Ru: 0.125 0.125 0.375 [16 per cell]
Pb: 0.250 0.250 0.750 [4 per cell]


No. 3
Computed X-ray powder pattern of Ca5Se4S for λ = 1.5418 Å (Cu Kα), from DFT lattice parameters and positions (PBE).
No peak broadening, texture or thermal motion is included.

Main lines, low angle first (15 to 90 degrees two-theta):
| two_theta | Rel. int. | index |
| --- | --- | --- |
| 26.09 | 12 | 0 1 5 |
| 30.22 | 100 | 0 2 0 |
| 43.26 | 71 | 2 0 0 |
| 53.68 | 24 | 2 2 0 |
| 62.84 | 11 | 0 4 0 |
| 71.29 | 25 | 1 4 5 |
| 79.33 | 15 | 2 4 0 |
| 79.42 | 7 | 3 2 5 |

Cell and atoms:
a b c (Å): 4.178 5.919 20.921
angles (deg): 90.00 90.00 90.00
Space group Immm (No. 71)
One atom of each set of equivalent atoms:
Ca: 0.000 0.000 0.000 [2 per cell]
Ca: 0.000 0.000 0.201 [4 per cell]
Ca: 0.000 0.000 0.404 [4 per cell]
Se: 0.000 0.500 0.198 [4 per cell]
Se: 0.000 0.500 0.401 [4 per cell]
S: 0.000 0.500 0.000 [2 per cell]


Please write out number 1 again, unchanged.
Computed X-ray powder pattern of Mg3In for λ = 1.5418 Å (Cu Kα), from DFT lattice parameters and positions (PBE).
No peak broadening, texture or thermal motion is included.

Main lines, low angle first (15 to 90 degrees two-theta):
| two_theta | Rel. int. | index |
| --- | --- | --- |
| 15.97 | 28 | 1 0 0 |
| 23.66 | 70 | 1 0 1 |
| 27.85 | 31 | 1 1 0 |
| 32.27 | 24 | 2 0 0 |
| 35.10 | 25 | 0 0 2 |
| 36.86 | 100 | 2 0 1 |
| 46.82 | 22 | 2 1 1 |
| 69.22 | 20 | 2 2 2 |

Cell and atoms:
a b c (Å): 6.4066 6.4066 5.1130
angles (deg): 90.00 90.00 120.00
Space group P6_3/mmc (No. 194)
One atom of each set of equivalent atoms:
Mg: 0.1659 0.3318 0.2500 [6 per cell]
In: 0.3333 0.6667 0.7500 [2 per cell]


What is the formula in the third record?
Ca5Se4S